The following is a calculated powder diffraction line list of AcGaSbAu. It was derived from a DFT-relaxed cell (PBE, Alexandria), using Cu Kα (weighted mean of Kα1 and Kα2).
Lines closer than 0.1° are merged.

Atomic structure:
Lattice parameters (Å, degrees): 7.4811 7.4811 7.4811 90.00 90.00 90.00
Space group F-43m (No. 216)
One atom of each set of equivalent atoms:
Ac1 0.0000 0.0000 0.0000
Ga1 0.2500 0.2500 0.7500
Sb1 0.0000 0.0000 0.5000
Au1 0.2500 0.2500 0.2500

Top 10 peaks for 2θ = 10–90°, sorted by position:
2θ 20.56, d 4.319, I 15, (1 1 1)
2θ 33.89, d 2.645, I 100, (2 2 0)
2θ 39.97, d 2.256, I 9, (3 1 1)
2θ 48.69, d 1.870, I 18, (4 0 0)
2θ 53.38, d 1.716, I 4, (3 3 1)
2θ 60.64, d 1.527, I 38, (4 2 2)
2θ 64.75, d 1.440, I 3, (5 1 1)
2θ 71.31, d 1.322, I 12, (4 4 0)
2θ 75.13, d 1.265, I 3, (5 3 1)
2θ 81.35, d 1.183, I 17, (6 2 0)